# 1
RbPrCl4: simulated X-ray diffraction stick pattern (λ = 1.5418 Å (Cu Kα)), based on DFT lattice parameters and positions (GGA-PBE).

Crystal structure
Unit cell a=7.756 b=4.414 c=19.799 alpha=90.00 beta=90.00 gamma=90.00
Positions (direct):
Rb1 0.219 0.250 0.204
Rb2 0.281 0.750 0.704
Rb3 0.719 0.250 0.296
Rb4 0.781 0.750 0.796
Pr1 0.250 0.250 0.942
Pr2 0.250 0.750 0.442
Pr3 0.750 0.250 0.558
Pr4 0.750 0.750 0.058
Cl1 0.008 0.250 0.060
Cl2 0.096 0.250 0.809
Cl3 0.099 0.250 0.367
Cl4 0.140 0.250 0.536
Cl5 0.360 0.750 0.036
Cl6 0.401 0.750 0.867
Cl7 0.404 0.750 0.309
Cl8 0.492 0.750 0.560
Cl9 0.508 0.250 0.440
Cl10 0.596 0.250 0.691
Cl11 0.599 0.250 0.133
Cl12 0.640 0.250 0.964
Cl13 0.860 0.750 0.464
Cl14 0.901 0.750 0.633
Cl15 0.904 0.750 0.191
Cl16 0.992 0.750 0.940

Most intense lines, 5 to 70 degrees two-theta, sorted by position:
d [Å]	2theta	I_rel
9.900	8.93	42.0
6.105	14.51	37.7
4.173	21.29	86.0
3.766	23.62	71.7
3.669	24.26	39.7
2.665	33.63	100.0
2.292	39.32	44.0
2.277	39.59	61.8

***

# 2
Li6CuAu: simulated X-ray diffraction stick pattern (λ = 1.5418 Å (Cu Kα)), based on DFT lattice parameters and positions (GGA-PBE).

Crystal structure
Unit cell a=6.972 b=6.285 c=4.903 alpha=75.98 beta=61.00 gamma=43.02
Positions (direct):
Li1 0.113 0.113 0.387
Li2 0.248 0.248 0.752
Li3 0.387 0.387 0.113
Li4 0.613 0.613 0.887
Li5 0.752 0.752 0.248
Li6 0.887 0.887 0.613
Cu1 0.500 0.500 0.500
Au1 0.000 0.000 0.000

Most intense lines, 5 to 70 degrees two-theta, sorted by position:
d [Å]	2theta	I_rel
5.660	15.66	100.0
4.212	21.09	48.5
4.071	21.83	46.1
3.305	26.98	54.2
2.460	36.52	24.8
2.324	38.75	28.8
2.269	39.73	27.1
2.106	42.95	33.2

***

# 3
Er5Sc2In2: simulated X-ray diffraction stick pattern (λ = 1.5418 Å (Cu Kα)), based on DFT lattice parameters and positions (GGA-PBE).

Crystal structure
Unit cell a=9.853 b=9.853 c=9.853 alpha=75.11 beta=117.54 gamma=142.62
Positions (direct):
Er1 0.132 0.267 0.366
Er2 0.247 0.054 0.301
Er3 0.247 0.446 0.693
Er4 0.353 0.016 0.036
Er5 0.353 0.817 0.838
Er6 0.753 0.554 0.307
Er7 0.753 0.946 0.699
Er8 0.901 0.767 0.634
Er9 0.980 0.317 0.964
Er10 0.980 0.516 0.162
Sc1 0.295 0.295 0.000
Sc2 0.295 0.795 0.500
Sc3 0.486 0.253 0.733
Sc4 0.519 0.753 0.267
In1 0.728 0.166 0.381
In2 0.728 0.846 0.061
In3 0.785 0.346 0.619
In4 0.785 0.666 0.939

Most intense lines, 5 to 70 degrees two-theta, sorted by position:
d [Å]	2theta	I_rel
3.158	28.26	19.1
2.991	29.87	100.0
2.962	30.17	40.4
2.850	31.39	28.1
2.686	33.36	20.3
2.540	35.34	37.1
2.456	36.59	41.9
2.342	38.44	30.1

***

# 4
Ba3LiTl3: simulated X-ray diffraction stick pattern (λ = 1.5418 Å (Cu Kα)), based on DFT lattice parameters and positions (GGA-PBE).

Crystal structure
Unit cell a=6.980 b=6.980 c=18.284 alpha=104.22 beta=104.22 gamma=38.16
Positions (direct):
Ba1 0.005 0.005 0.111
Ba2 0.114 0.114 0.421
Ba3 0.225 0.225 0.729
Ba4 0.775 0.775 0.271
Ba5 0.886 0.886 0.579
Ba6 0.995 0.995 0.889
Li1 0.299 0.299 0.117
Li2 0.701 0.701 0.883
Tl1 0.312 0.312 0.960
Tl2 0.396 0.396 0.424
Tl3 0.486 0.486 0.264
Tl4 0.514 0.514 0.736
Tl5 0.604 0.604 0.576
Tl6 0.688 0.688 0.040

Most intense lines, 5 to 70 degrees two-theta, sorted by position:
d [Å]	2theta	I_rel
3.736	23.81	26.9
3.282	27.17	29.5
3.223	27.68	100.0
3.166	28.18	73.3
2.943	30.37	31.5
2.772	32.29	67.5
2.747	32.60	33.4
2.282	39.50	38.8

***

# 5
CaTb2Sm: simulated X-ray diffraction stick pattern (λ = 1.5418 Å (Cu Kα)), based on DFT lattice parameters and positions (GGA-PBE).

Crystal structure
Unit cell a=12.237 b=12.237 c=12.237 alpha=17.04 beta=17.04 gamma=17.04
Positions (direct):
Ca1 0.000 0.000 0.000
Tb1 0.579 0.579 0.579
Tb2 0.753 0.753 0.753
Sm1 0.166 0.166 0.166

Most intense lines, 5 to 70 degrees two-theta, sorted by position:
d [Å]	2theta	I_rel
12.056	7.33	65.2
3.094	28.85	42.6
3.014	29.64	42.8
2.881	31.04	100.0
2.684	33.39	66.3
2.371	37.94	33.4
1.813	50.32	31.1
1.554	59.49	35.3

***

# 6
Li5ZnCd6: simulated X-ray diffraction stick pattern (λ = 1.5418 Å (Cu Kα)), based on DFT lattice parameters and positions (GGA-PBE).

Crystal structure
Unit cell a=8.050 b=8.050 c=8.050 alpha=146.15 beta=131.05 gamma=60.84
Positions (direct):
Li1 0.000 0.000 0.000
Li2 0.167 0.667 0.500
Li3 0.334 0.334 0.000
Li4 0.666 0.666 0.000
Li5 0.833 0.333 0.500
Zn1 0.500 0.000 0.500
Cd1 0.079 0.832 0.248
Cd2 0.246 0.500 0.746
Cd3 0.416 0.168 0.248
Cd4 0.584 0.832 0.752
Cd5 0.754 0.500 0.254
Cd6 0.921 0.168 0.752

Most intense lines, 5 to 70 degrees two-theta, sorted by position:
d [Å]	2theta	I_rel
3.335	26.73	29.9
3.293	27.08	58.0
2.343	38.41	100.0
2.314	38.92	19.2
1.917	47.41	12.1
1.901	47.84	11.9
1.647	55.83	12.9
1.353	69.47	19.4

***

# 7
Dy6Hg2Ru: simulated X-ray diffraction stick pattern (λ = 1.5418 Å (Cu Kα)), based on DFT lattice parameters and positions (GGA-PBE).

Crystal structure
Unit cell a=3.870 b=8.427 c=8.427 alpha=118.98 beta=90.00 gamma=90.00
Positions (direct):
Dy1 0.000 0.000 0.000
Dy2 0.000 0.509 0.746
Dy3 0.000 0.746 0.509
Dy4 0.500 0.146 0.746
Dy5 0.500 0.352 0.352
Dy6 0.500 0.746 0.146
Hg1 0.000 0.080 0.416
Hg2 0.000 0.416 0.080
Ru1 0.500 0.766 0.766

Most intense lines, 5 to 70 degrees two-theta, sorted by position:
d [Å]	2theta	I_rel
2.870	31.16	60.5
2.850	31.39	100.0
2.768	32.34	34.4
2.750	32.56	37.2
2.669	33.58	81.9
2.648	33.86	38.6
2.457	36.57	52.3
1.935	46.95	33.8

***

# 8
Ce2HoCr2C4: simulated X-ray diffraction stick pattern (λ = 1.5418 Å (Cu Kα)), based on DFT lattice parameters and positions (GGA-PBE).

Crystal structure
Unit cell a=6.793 b=6.793 c=6.023 alpha=108.26 beta=108.26 gamma=28.90
Positions (direct):
Ce1 0.132 0.132 0.036
Ce2 0.868 0.868 0.964
Ho1 0.000 0.000 0.500
Cr1 0.318 0.318 0.499
Cr2 0.682 0.682 0.501
C1 0.219 0.219 0.692
C2 0.449 0.449 0.739
C3 0.551 0.551 0.261
C4 0.781 0.781 0.308

Most intense lines, 5 to 70 degrees two-theta, sorted by position:
d [Å]	2theta	I_rel
3.271	27.27	79.0
3.202	27.86	70.5
2.849	31.40	78.0
2.595	34.57	100.0
2.422	37.13	41.8
2.245	40.17	56.2
2.218	40.68	86.5
2.069	43.74	25.2

***

# 9
Mo2C: simulated X-ray diffraction stick pattern (λ = 1.5418 Å (Cu Kα)), based on DFT lattice parameters and positions (GGA-PBE).

Crystal structure
Unit cell a=4.758 b=6.067 c=5.245 alpha=90.00 beta=90.00 gamma=90.00
Positions (direct):
Mo1 0.247 0.122 0.079
Mo2 0.247 0.878 0.579
Mo3 0.253 0.378 0.579
Mo4 0.253 0.622 0.079
Mo5 0.747 0.378 0.921
Mo6 0.747 0.622 0.421
Mo7 0.753 0.122 0.421
Mo8 0.753 0.878 0.921
C1 0.000 0.377 0.250
C2 0.000 0.623 0.750
C3 0.500 0.123 0.750
C4 0.500 0.877 0.250

Most intense lines, 5 to 70 degrees two-theta, sorted by position:
d [Å]	2theta	I_rel
2.625	34.16	19.6
2.379	37.82	22.1
2.298	39.20	100.0
1.763	51.87	17.1
1.517	61.10	6.3
1.515	61.19	12.4
1.357	69.21	17.8

***

# 10
Nd3Pu4S8: simulated X-ray diffraction stick pattern (λ = 1.5418 Å (Cu Kα)), based on DFT lattice parameters and positions (GGA-PBE).

Crystal structure
Unit cell a=8.023 b=8.023 c=8.007 alpha=119.87 beta=119.87 gamma=90.22
Positions (direct):
Nd1 0.000 0.000 0.000
Nd2 0.000 0.500 0.500
Nd3 0.500 0.000 0.500
Pu1 0.000 0.500 0.000
Pu2 0.500 0.000 0.000
Pu3 0.500 0.500 0.000
Pu4 0.500 0.500 0.500
S1 0.252 0.748 0.000
S2 0.252 0.748 0.500
S3 0.256 0.256 0.007
S4 0.257 0.257 0.507
S5 0.743 0.743 0.493
S6 0.744 0.744 0.993
S7 0.748 0.252 0.000
S8 0.748 0.252 0.500

Most intense lines, 5 to 70 degrees two-theta, sorted by position:
d [Å]	2theta	I_rel
6.554	13.51	27.1
3.275	27.23	100.0
2.839	31.51	77.9
2.831	31.60	38.6
2.007	45.19	71.5
1.712	53.51	25.6
1.709	53.64	25.4
1.638	56.16	30.1

***

# 11
Sm3DyC: simulated X-ray diffraction stick pattern (λ = 1.5418 Å (Cu Kα)), based on DFT lattice parameters and positions (GGA-PBE).

Crystal structure
Unit cell a=5.167 b=5.167 c=5.167 alpha=90.00 beta=90.00 gamma=90.00
Positions (direct):
Sm1 0.000 0.000 0.500
Sm2 0.000 0.500 0.000
Sm3 0.500 0.000 0.000
Dy1 0.500 0.500 0.500
C1 0.000 0.000 0.000

Most intense lines, 5 to 70 degrees two-theta, sorted by position:
d [Å]	2theta	I_rel
2.983	29.95	100.0
2.584	34.72	54.6
1.827	49.92	39.0
1.558	59.32	44.0
1.492	62.24	13.3

***

# 12
Mn5Nb2CrB2: simulated X-ray diffraction stick pattern (λ = 1.5418 Å (Cu Kα)), based on DFT lattice parameters and positions (GGA-PBE).

Crystal structure
Unit cell a=8.704 b=8.704 c=2.960 alpha=90.00 beta=90.00 gamma=90.00
Positions (direct):
Mn1 0.000 0.500 0.000
Mn2 0.067 0.212 0.000
Mn3 0.212 0.933 0.000
Mn4 0.288 0.433 0.000
Mn5 0.433 0.712 0.000
Mn6 0.500 0.000 0.000
Mn7 0.567 0.288 0.000
Mn8 0.712 0.567 0.000
Mn9 0.788 0.067 0.000
Mn10 0.933 0.788 0.000
Nb1 0.175 0.675 0.500
Nb2 0.325 0.175 0.500
Nb3 0.675 0.825 0.500
Nb4 0.825 0.325 0.500
Cr1 0.000 0.000 0.500
Cr2 0.500 0.500 0.500
B1 0.122 0.378 0.500
B2 0.378 0.878 0.500
B3 0.622 0.122 0.500
B4 0.878 0.622 0.500

Most intense lines, 5 to 70 degrees two-theta, sorted by position:
d [Å]	2theta	I_rel
3.893	22.85	18.9
2.356	38.19	84.6
2.133	42.37	34.3
2.111	42.84	81.8
2.052	44.14	22.6
2.016	44.97	100.0
1.946	46.67	25.7
1.871	48.67	25.0